[1]
Theoretical X-ray diffraction stick pattern
Compound: Hf2Al2AgAu
Radiation: Cu Kα (weighted mean of Kα1 and Kα2)
Structure: DFT lattice parameters and positions (PBE)

Cell and atoms:
```
data_Hf2Al2AgAu
_symmetry_space_group_name_H-M 'P 1 m 1'
_symmetry_Int_Tables_number 6
_cell_length_a 7.687
_cell_length_b 4.436
_cell_length_c 14.720
_cell_angle_alpha 90.00
_cell_angle_beta 100.01
_cell_angle_gamma 90.00
loop_
_symmetry_equiv_pos_as_xyz
'x,y,z'
'x,-y,z'
loop_
_atom_site_label
_atom_site_type_symbol
_atom_site_fract_x
_atom_site_fract_y
_atom_site_fract_z
Hf1 Hf 0.000 0.000 0.000
Hf2 Hf 0.000 0.500 0.500
Hf3 Hf 0.249 0.500 0.250
Hf4 Hf 0.250 0.000 0.750
Hf5 Hf 0.500 0.000 0.500
Hf6 Hf 0.500 0.500 0.000
Hf7 Hf 0.750 0.000 0.250
Hf8 Hf 0.750 0.500 0.750
Al1 Al 0.125 0.000 0.375
Al2 Al 0.125 0.500 0.875
Al3 Al 0.375 0.000 0.125
Al4 Al 0.375 0.500 0.625
Al5 Al 0.624 0.500 0.375
Al6 Al 0.625 0.000 0.875
Al7 Al 0.874 0.500 0.125
Al8 Al 0.875 0.000 0.625
Ag1 Ag 0.312 0.000 0.937
Ag2 Ag 0.312 0.500 0.437
Ag3 Ag 0.563 0.500 0.187
Ag4 Ag 0.812 0.500 0.937
Au1 Au 0.062 0.000 0.187
Au2 Au 0.062 0.500 0.687
Au3 Au 0.563 0.000 0.687
Au4 Au 0.812 0.000 0.438
```

Principal peaks in the range 10 to 80 degrees two-theta, in order of rising 2θ:
(hkl), 2θ/deg, I (rel.)
0 0 2, 12.2, 1
1 1 1, 24.6, 89
2 0 2, 28.4, 2
1 1 5, 40.7, 100
4 0 0, 48.1, 45
4 0 4, 58.9, 17
4 2 0, 64.8, 18
5 1 1, 66.6, 1
4 2 4, 74.0, 34
5 1 5, 79.3, 14



[2]
Theoretical X-ray diffraction stick pattern
Compound: Li2Mg2AlAgAu2
Radiation: Cu Kα (weighted mean of Kα1 and Kα2)
Structure: DFT lattice parameters and positions (PBE)

Cell and atoms:
```
data_Li2Mg2AlAgAu2
_symmetry_space_group_name_H-M 'P -4 m 2'
_symmetry_Int_Tables_number 115
_cell_length_a 4.546
_cell_length_b 4.546
_cell_length_c 6.463
_cell_angle_alpha 90.00
_cell_angle_beta 90.00
_cell_angle_gamma 90.00
loop_
_symmetry_equiv_pos_as_xyz
'x,y,z'
'y,-x,-z'
'-x,-y,z'
'-y,x,-z'
'-x,y,z'
'-y,-x,-z'
'x,-y,z'
'y,x,-z'
loop_
_atom_site_label
_atom_site_type_symbol
_atom_site_fract_x
_atom_site_fract_y
_atom_site_fract_z
Li1 Li 0.000 0.500 0.246
Mg1 Mg 0.000 0.000 0.000
Mg2 Mg 0.500 0.500 0.500
Al1 Al 0.000 0.000 0.500
Ag1 Ag 0.500 0.500 0.000
Au1 Au 0.000 0.500 0.725
```

Principal peaks in the range 10 to 80 degrees two-theta, in order of rising 2θ:
(hkl), 2θ/deg, I (rel.)
1 0 1, 23.9, 100
1 1 0, 27.8, 10
1 1 2, 39.5, 60
2 0 0, 39.7, 32
1 0 3, 46.7, 14
2 1 1, 46.8, 34
2 2 0, 57.3, 11
2 1 3, 62.8, 12
2 0 4, 71.7, 8
3 1 2, 71.9, 21



[3]
Theoretical X-ray diffraction stick pattern
Compound: BaAl3Ag2
Radiation: Cu Kα (weighted mean of Kα1 and Kα2)
Structure: DFT lattice parameters and positions (PBE)

Cell and atoms:
```
data_BaAl3Ag2
_symmetry_space_group_name_H-M 'P 6/m m m'
_symmetry_Int_Tables_number 191
_symmetry_space_group_name_Hall '-P 6 2'
_cell_length_a 5.8052
_cell_length_b 5.8052
_cell_length_c 4.4832
_cell_angle_alpha 90.00
_cell_angle_beta 90.00
_cell_angle_gamma 120.00
loop_
_atom_site_label
_atom_site_type_symbol
_atom_site_fract_x
_atom_site_fract_y
_atom_site_fract_z
Ba1 Ba 0.0000 0.0000 0.0000
Al1 Al 0.0000 0.5000 0.5000
Ag1 Ag 0.3333 0.6667 0.0000
```

Principal peaks in the range 10 to 80 degrees two-theta, in order of rising 2θ:
(hkl), 2θ/deg, I (rel.)
0 0 1, 19.8, 41
1 1 0, 30.8, 60
1 1 1, 36.9, 100
0 0 2, 40.2, 17
1 1 2, 51.5, 27
3 0 0, 54.8, 14
3 0 1, 58.8, 25
2 2 0, 64.2, 12
1 1 3, 70.9, 14
2 2 2, 78.5, 14